[1]
Theoretical XRD peak list of PrHoBr2O2 for Cu Kα, 1.54184 Å, from the GGA-PBE geometry in OQMD.

Structural model:
Cell lengths 3.9076, 3.9076, 8.3318 Å; angles 90.00, 90.00, 90.00 degrees
Space group P4mm (No. 99)
One atom of each set of equivalent atoms:
Pr: 0.0000 0.0000 0.0000 x1
Ho: 0.5000 0.5000 0.2830 x1
Br: 0.0000 0.0000 0.4814 x1
Br: 0.5000 0.5000 0.8050 x1
O: 0.0000 0.5000 0.1540 x2

Largest 12 diffraction maxima, by angle, 5 to 70 degrees two-theta:
- d 8.332, I = 32
- d 3.538, I = 8
- d 2.850, I = 100
- d 2.763, I = 44
- d 2.303, I = 8
- d 2.083, I = 6
- d 1.954, I = 21
- d 1.838, I = 9
- d 1.663, I = 17
- d 1.611, I = 36
- d 1.425, I = 9
- d 1.382, I = 7



[2]
Theoretical XRD peak list of PrHoPBr2 for Cu Kα, 1.54184 Å, from the GGA-PBE geometry in OQMD.

Structural model:
Cell lengths 4.0849, 4.0849, 10.7091 Å; angles 90.00, 90.00, 120.00 degrees
Space group P3m1 (No. 156)
One atom of each set of equivalent atoms:
Pr: 0.0000 0.0000 0.0000 x1
Ho: 0.6667 0.3333 0.2922 x1
P: 0.3333 0.6667 0.1569 x1
Br: 0.0000 0.0000 0.4583 x1
Br: 0.6667 0.3333 0.8197 x1

Largest 12 diffraction maxima, by angle, 5 to 70 degrees two-theta:
- d 10.709, I = 49
- d 5.355, I = 12
- d 3.538, I = 22
- d 3.359, I = 7
- d 2.952, I = 100
- d 2.513, I = 12
- d 2.135, I = 29
- d 2.042, I = 29
- d 1.832, I = 8
- d 1.680, I = 19
- d 1.624, I = 8
- d 1.476, I = 9



[3]
Theoretical XRD peak list of Rb3HoBr6 for Cu Kα, 1.54184 Å, from the GGA-PBE geometry in OQMD.

Structural model:
Cell lengths 8.0745, 8.5707, 13.9414 Å; angles 90.00, 124.34, 90.00 degrees
Space group P2_1/c (No. 14)
One atom of each set of equivalent atoms:
Rb: 0.0000 0.0000 0.0000 x2
Rb: 0.2154 0.0747 0.7443 x4
Ho: 0.5000 0.0000 0.5000 x2
Br: 0.1676 0.1771 0.4459 x4
Br: 0.2634 0.7289 0.4276 x4
Br: 0.4002 0.0496 0.2755 x4

Largest 12 diffraction maxima, by angle, 5 to 70 degrees two-theta:
- d 6.875, I = 69
- d 5.877, I = 69
- d 4.140, I = 71
- d 4.085, I = 66
- d 3.495, I = 66
- d 3.440, I = 58
- d 2.938, I = 100
- d 2.878, I = 53
- d 2.629, I = 84
- d 2.389, I = 48
- d 2.360, I = 77
- d 2.330, I = 42



[4]
Theoretical XRD peak list of TbHoSe2Br2 for Cu Kα, 1.54184 Å, from the GGA-PBE geometry in OQMD.

Structural model:
Cell lengths 4.1057, 5.6232, 8.5053 Å; angles 90.00, 90.00, 90.00 degrees
Space group Pmm2 (No. 25)
One atom of each set of equivalent atoms:
Tb: 0.0000 0.0000 0.0000 x1
Ho: 0.5000 0.5000 0.2769 x1
Se: 0.0000 0.5000 0.0424 x1
Se: 0.5000 0.0000 0.2385 x1
Br: 0.0000 0.5000 0.5024 x1
Br: 0.5000 0.0000 0.7706 x1

Largest 12 diffraction maxima, by angle, 5 to 70 degrees two-theta:
- d 8.505, I = 77
- d 4.691, I = 60
- d 3.697, I = 20
- d 3.089, I = 19
- d 2.954, I = 100
- d 2.812, I = 46
- d 2.155, I = 28
- d 2.126, I = 17
- d 2.053, I = 18
- d 2.037, I = 69
- d 1.696, I = 17
- d 1.658, I = 19



[5]
Theoretical XRD peak list of HoTmSe2Br2 for Cu Kα, 1.54184 Å, from the GGA-PBE geometry in OQMD.

Structural model:
Cell lengths 4.0593, 5.5802, 8.4449 Å; angles 90.00, 90.00, 90.00 degrees
Space group Pmm2 (No. 25)
One atom of each set of equivalent atoms:
Ho: 0.0000 0.0000 0.0000 x1
Tm: 0.5000 0.5000 0.7263 x1
Se: 0.0000 0.5000 0.9605 x1
Se: 0.5000 0.0000 0.7616 x1
Br: 0.0000 0.5000 0.5006 x1
Br: 0.5000 0.0000 0.2295 x1

Largest 12 diffraction maxima, by angle, 5 to 70 degrees two-theta:
- d 8.445, I = 81
- d 4.656, I = 61
- d 3.659, I = 21
- d 3.060, I = 21
- d 2.926, I = 100
- d 2.790, I = 46
- d 2.137, I = 27
- d 2.111, I = 17
- d 2.030, I = 18
- d 2.019, I = 69
- d 1.684, I = 17
- d 1.641, I = 19



[6]
Theoretical XRD peak list of YHoBr6 for Cu Kα, 1.54184 Å, from the GGA-PBE geometry in OQMD.

Structural model:
Cell lengths 7.0859, 12.3137, 6.9590 Å; angles 90.00, 110.75, 90.00 degrees
Space group C2 (No. 5)
One atom of each set of equivalent atoms:
Y: 0.0000 0.0000 0.0000 x2
Ho: 0.0000 0.3318 0.0000 x2
Br: 0.2332 0.1667 0.2457 x4
Br: 0.2386 0.3427 0.7554 x4
Br: 0.2409 0.9882 0.7551 x4

Largest 12 diffraction maxima, by angle, 5 to 70 degrees two-theta:
- d 6.508, I = 49
- d 6.157, I = 18
- d 5.835, I = 29
- d 5.231, I = 21
- d 3.491, I = 29
- d 2.889, I = 51
- d 2.861, I = 100
- d 2.052, I = 18
- d 2.047, I = 38
- d 2.019, I = 36
- d 1.995, I = 17
- d 1.673, I = 19



[7]
Theoretical XRD peak list of K2PdIBr3 for Cu Kα, 1.54184 Å, from the GGA-PBE geometry in OQMD.

Structural model:
Cell lengths 4.4437, 11.1331, 10.4970 Å; angles 90.00, 90.00, 90.00 degrees
Space group Amm2 (No. 38)
One atom of each set of equivalent atoms:
K: 0.0000 0.2344 0.0000 x4
Pd: 0.5000 0.0000 0.2496 x2
I: 0.5000 0.0000 0.4982 x2
Br: 0.5000 0.0000 0.0103 x2
Br: 0.5000 0.2231 0.2495 x4

Largest 12 diffraction maxima, by angle, 5 to 70 degrees two-theta:
- d 7.637, I = 94
- d 4.444, I = 100
- d 3.841, I = 41
- d 3.473, I = 41
- d 2.896, I = 95
- d 2.783, I = 51
- d 2.624, I = 50
- d 2.359, I = 32
- d 2.260, I = 33
- d 2.222, I = 31
- d 1.909, I = 33
- d 1.448, I = 26



[8]
Theoretical XRD peak list of LaPrIBr2N for Cu Kα, 1.54184 Å, from the GGA-PBE geometry in OQMD.

Structural model:
Cell lengths 18.9772, 4.1477, 12.1855 Å; angles 90.00, 123.14, 90.00 degrees
Space group C2/m (No. 12)
One atom of each set of equivalent atoms:
La: 0.1317 0.0000 0.2770 x4
Pr: 0.0764 0.5000 0.9590 x4
I: 0.1599 0.5000 0.5143 x4
Br: 0.0418 0.0000 0.7579 x4
Br: 0.2110 0.0000 0.1121 x4
N: 0.0718 0.5000 0.1489 x4

Largest 12 diffraction maxima, by angle, 5 to 70 degrees two-theta:
- d 9.144, I = 100
- d 3.571, I = 33
- d 3.390, I = 54
- d 3.027, I = 37
- d 2.992, I = 45
- d 2.962, I = 70
- d 2.794, I = 24
- d 2.649, I = 36
- d 2.450, I = 25
- d 2.253, I = 41
- d 2.233, I = 31
- d 2.074, I = 36



Repeat the first record exactly.
Theoretical XRD peak list of PrHoBr2O2 for Cu Kα, 1.54184 Å, from the GGA-PBE geometry in OQMD.

Structural model:
Cell lengths 3.9076, 3.9076, 8.3318 Å; angles 90.00, 90.00, 90.00 degrees
Space group P4mm (No. 99)
One atom of each set of equivalent atoms:
Pr: 0.0000 0.0000 0.0000 x1
Ho: 0.5000 0.5000 0.2830 x1
Br: 0.0000 0.0000 0.4814 x1
Br: 0.5000 0.5000 0.8050 x1
O: 0.0000 0.5000 0.1540 x2

Largest 12 diffraction maxima, by angle, 5 to 70 degrees two-theta:
- d 8.332, I = 32
- d 3.538, I = 8
- d 2.850, I = 100
- d 2.763, I = 44
- d 2.303, I = 8
- d 2.083, I = 6
- d 1.954, I = 21
- d 1.838, I = 9
- d 1.663, I = 17
- d 1.611, I = 36
- d 1.425, I = 9
- d 1.382, I = 7